This entry pairs a crystal structure of CaLa2ThSe4 with its theoretical powder X-ray diffraction pattern. Radiation: Cu Kα, 1.54184 Å. Structure: the PBE geometry in Alexandria.

Structure:
Cell lengths 7.356, 4.231, 7.422 Å; angles 90.00, 109.20, 90.00 degrees
Space group P2/m (No. 10)
One atom of each set of equivalent atoms:
Ca: 0.000 0.000 0.000 [1 per cell]
La: 0.500 0.000 0.500 [1 per cell]
La: 0.500 0.500 0.000 [1 per cell]
Th: 0.000 0.500 0.500 [1 per cell]
Se: 0.238 0.500 0.243 [2 per cell]
Se: 0.240 0.000 0.751 [2 per cell]

Main lines, in order of rising 2θ (10° ≤ 2θ ≤ 90°):
(hkl), d [Å], I/Imax
0 0 1, 7.010, 9
2 0 0, 3.466, 9
1 1 1, 3.010, 100
1 1 -3, 2.137, 38
3 1 -1, 2.121, 25
0 2 0, 2.115, 12
2 2 -2, 1.731, 13
2 2 2, 1.505, 12
0 2 4, 1.350, 11
4 2 0, 1.343, 11